No. 1
This entry pairs a crystal structure of SmCo5Ge3 with its simulated X-ray diffraction stick pattern. Radiation: λ = 1.5418 Å (Cu Kα). Structure: DFT lattice parameters and positions (PBE).

Principal peaks in the range 10 to 80 degrees two-theta, by angle:
30.5 deg, intensity 49; 34.2 deg, intensity 100; 36.0 deg, intensity 86; 40.3 deg, intensity 69; 44.2 deg, intensity 39; 47.5 deg, intensity 66; 50.7 deg, intensity 44; 59.1 deg, intensity 44

Cell and atoms:
```
18
Lattice="1.914 -6.066 0.000 1.914 6.066 0.000 0.000 0.000 11.333" Properties=species:S:1:pos:R:3 pbc="T T T"
Sm 1.914 3.903 8.500
Sm 1.914 -3.903 2.833
Co 0.000 0.000 0.000
Co 0.000 0.000 5.666
Co 1.914 3.759 0.710
Co 1.914 3.759 4.956
Co 1.914 0.601 7.293
Co 1.914 0.601 9.706
Co 1.914 -0.601 1.627
Co 1.914 -0.601 4.040
Co 1.914 -3.759 6.376
Co 1.914 -3.759 10.623
Ge 1.914 4.781 2.833
Ge 1.914 1.492 0.544
Ge 1.914 1.492 5.122
Ge 1.914 -1.492 6.211
Ge 1.914 -1.492 10.788
Ge 1.914 -4.781 8.500
```

=====

No. 2
This entry pairs a crystal structure of Sm4CoGe with its simulated X-ray diffraction stick pattern. Radiation: λ = 1.5418 Å (Cu Kα). Structure: DFT lattice parameters and positions (PBE).

Principal peaks in the range 10 to 80 degrees two-theta, by angle:
26.6 deg, intensity 42; 30.7 deg, intensity 100; 31.6 deg, intensity 48; 31.8 deg, intensity 42; 34.3 deg, intensity 29; 35.4 deg, intensity 92; 44.3 deg, intensity 29; 54.7 deg, intensity 33

Cell and atoms:
```
12
Lattice="6.186 0.000 0.000 0.000 6.708 0.000 -2.649 0.000 7.746" Properties=species:S:1:pos:R:3 pbc="T T T"
Sm -0.530 0.002 1.732
Sm -0.530 3.352 1.732
Sm 0.929 1.677 4.776
Sm 2.472 1.677 0.746
Sm 1.065 5.031 7.000
Sm 2.608 5.031 2.971
Sm 4.068 6.706 6.014
Sm 4.068 3.356 6.014
Co 1.386 5.031 0.517
Co 2.151 1.677 7.229
Ge -0.174 5.031 4.261
Ge 3.711 1.677 3.485
```

=====

No. 3
This entry pairs a crystal structure of Sm4CoGe with its simulated X-ray diffraction stick pattern. Radiation: λ = 1.5418 Å (Cu Kα). Structure: DFT lattice parameters and positions (PBE).

Principal peaks in the range 10 to 80 degrees two-theta, by angle:
30.3 deg, intensity 32; 31.1 deg, intensity 100; 33.5 deg, intensity 47; 34.9 deg, intensity 21; 36.4 deg, intensity 22; 37.8 deg, intensity 37; 39.9 deg, intensity 17; 40.7 deg, intensity 18

Cell and atoms:
```
12
Lattice="4.415 -6.835 0.000 4.415 6.835 0.000 -3.100 0.000 5.294" Properties=species:S:1:pos:R:3 pbc="T T T"
Sm 0.520 4.306 4.831
Sm 0.341 0.840 3.645
Sm 3.658 4.306 3.110
Sm 1.892 -0.840 0.998
Sm 3.837 0.840 4.296
Sm 2.070 -4.306 2.184
Sm 5.387 -0.840 1.649
Sm 5.208 -4.306 0.463
Co 2.089 6.818 3.971
Co 3.639 -6.818 1.324
Ge 3.639 1.743 1.324
Ge 2.089 -1.743 3.971
```

=====

No. 4
This entry pairs a crystal structure of TaCo3Ge with its simulated X-ray diffraction stick pattern. Radiation: λ = 1.5418 Å (Cu Kα). Structure: DFT lattice parameters and positions (PBE).

Principal peaks in the range 10 to 80 degrees two-theta, by angle:
10.9 deg, intensity 100; 20.4 deg, intensity 59; 34.0 deg, intensity 57; 35.8 deg, intensity 50; 39.9 deg, intensity 57; 43.9 deg, intensity 55; 45.3 deg, intensity 38; 53.5 deg, intensity 65

Cell and atoms:
```
10
Lattice="-2.257 2.257 8.108 2.257 -2.257 8.108 2.257 2.257 -8.108" Properties=species:S:1:pos:R:3 pbc="T T T"
Ta 0.000 0.000 1.539
Ta 0.000 0.000 14.678
Co 1.136 2.257 -2.043
Co 1.121 0.000 6.065
Co 2.257 1.136 2.043
Co 0.000 2.257 0.441
Co 0.000 1.121 10.152
Co 0.000 2.257 7.667
Ge 2.257 0.000 4.054
Ge 0.000 0.000 8.108
```

=====

No. 5
This entry pairs a crystal structure of Tb2CoGe4 with its simulated X-ray diffraction stick pattern. Radiation: λ = 1.5418 Å (Cu Kα). Structure: DFT lattice parameters and positions (PBE).

Principal peaks in the range 10 to 80 degrees two-theta, by angle:
33.9 deg, intensity 14; 35.0 deg, intensity 100; 35.6 deg, intensity 22; 40.5 deg, intensity 19; 43.5 deg, intensity 21; 44.0 deg, intensity 21; 56.7 deg, intensity 14; 74.4 deg, intensity 18

Cell and atoms:
```
14
Lattice="4.119 0.000 0.000 0.000 4.162 0.000 0.000 0.000 15.863" Properties=species:S:1:pos:R:3 pbc="T T T"
Tb 0.000 0.000 0.000
Tb 0.000 2.081 7.932
Tb 2.059 0.000 3.308
Tb 2.059 2.081 11.239
Co 0.000 0.000 12.618
Co 0.000 2.081 4.686
Ge 0.000 0.000 5.758
Ge 0.000 0.000 10.315
Ge 0.000 2.081 2.384
Ge 0.000 2.081 13.689
Ge 2.059 0.000 8.653
Ge 2.059 0.000 13.665
Ge 2.059 2.081 0.722
Ge 2.059 2.081 5.734
```

=====

No. 6
This entry pairs a crystal structure of Co5TcGe6 with its simulated X-ray diffraction stick pattern. Radiation: λ = 1.5418 Å (Cu Kα). Structure: DFT lattice parameters and positions (PBE).

Principal peaks in the range 10 to 80 degrees two-theta, by angle:
43.2 deg, intensity 100; 43.4 deg, intensity 99; 43.6 deg, intensity 98; 62.5 deg, intensity 16; 79.2 deg, intensity 15; 79.3 deg, intensity 16; 79.6 deg, intensity 23; 79.9 deg, intensity 23

Cell and atoms:
```
12
Lattice="4.184 0.000 0.000 0.006 5.858 0.000 2.036 0.004 6.285" Properties=species:S:1:pos:R:3 pbc="T T T"
Co 0.000 0.000 0.000
Co 2.063 0.002 2.140
Co 2.087 2.931 2.092
Co 4.139 2.931 4.192
Co 4.163 5.860 4.144
Tc 0.003 2.929 0.000
Ge 2.056 1.460 4.149
Ge 2.060 4.403 4.147
Ge 4.130 1.414 6.285
Ge 2.096 4.449 0.000
Ge 4.166 1.459 2.137
Ge 4.170 4.403 2.136
```